This entry pairs a crystal structure of SmNiPtO4 with its computed powder diffractogram. Radiation: Cu Kα (λ = 1.5418 Å). Structure: a structure optimized by DFT (PBE+U).
Kinematic intensities with the Lorentz-polarization factor, no thermal factor.

Atomic structure:
Cell lengths 6.454, 6.859, 8.589 Å; angles 90.00, 90.00, 90.00 degrees
Space group Imma (No. 74)
Symmetry-distinct sites (fractional):
Sm (0.000, 0.000, 0.000) x4
Ni (0.000, 0.250, 0.382) x4
Pt (0.250, 0.250, 0.750) x4
O (0.000, 0.026, 0.727) x8
O (0.243, 0.250, 0.994) x8

Main lines, sorted by position (5 to 70 degrees two-theta):
16.5 deg, rel. 100, hkl 0 1 1; 17.2 deg, rel. 37, hkl 1 0 1; 31.3 deg, rel. 68, hkl 1 2 1; 32.4 deg, rel. 90, hkl 2 1 1; 33.4 deg, rel. 56, hkl 0 2 2; 33.9 deg, rel. 45, hkl 0 1 3; 34.8 deg, rel. 55, hkl 2 0 2; 38.3 deg, rel. 62, hkl 2 2 0; 50.0 deg, rel. 31, hkl 2 3 1; 58.2 deg, rel. 65, hkl 2 2 4